[1]
For Dy4AlIn2, a crystal structure in Alexandria, relaxed with PBE gives the calculated X-ray diffraction stick pattern in this record (Cu Kα, 1.54184 Å).

Main lines, low angle first (2θ from 5° to 70°):
hkl  two_theta  I_rel
0 0 6  20.96  124
1 0 4  24.25  217
1 1 0  34.56  1000
2 0 8  49.68  178
2 1 4  56.03  91
3 0 0  61.93  364

Atomic structure:
a = 5.1882 Å, b = 5.1882 Å, c = 25.4497 Å
α = 90.00°, β = 90.00°, γ = 120.00°
Space group R-3m (No. 166, hexagonal axes)
Asymmetric unit:
Dy 0.0000 0.0000 0.1226 x6
Dy 0.0000 0.0000 0.3741 x6
Al 0.0000 0.0000 0.5000 x3
In 0.0000 0.0000 0.2509 x6


[2]
For Dy3Al3In, a crystal structure in Alexandria, relaxed with PBE gives the calculated X-ray diffraction stick pattern in this record (Cu Kα, 1.54184 Å).

Main lines, low angle first (2θ from 5° to 70°):
hkl  two_theta  I_rel
1 1 0  21.34  619
1 1 3  31.01  1000
3 1 -2  31.55  573
1 1 -4  31.84  989
3 1 2  38.05  600
0 2 0  39.76  594

Atomic structure:
a = 11.128 Å, b = 4.534 Å, c = 14.329 Å
α = 90.00°, β = 108.87°, γ = 90.00°
Space group C2/m (No. 12)
Asymmetric unit:
Dy 0.025 0.000 0.376 x4
Dy 0.106 0.000 0.925 x4
Dy 0.234 0.000 0.216 x4
Al 0.018 0.500 0.224 x4
Al 0.108 0.500 0.073 x4
Al 0.123 0.500 0.548 x4
In 0.238 0.500 0.388 x4